For LiSmGe2Au4, a structure optimized by DFT (PBE) gives the computed X-ray diffraction stick pattern in this record (Cu Kα (weighted mean of Kα1 and Kα2)).
Neutral-atom scattering factors, no anomalous dispersion.

Most intense lines, 2θ = 10–80°, low angle first:
2θ (°), Rel. int.
26.50, 42
28.52, 32
33.36, 34
36.08, 76
39.50, 100
54.57, 23
68.61, 20
69.43, 23

Atomic structure:
```
LiSmGe2Au4
1.0
2.2812 1.3171 8.5466
-2.2812 1.3171 8.5466
0.0000 -2.6341 8.5466
Li Sm Ge Au
1 1 2 4
Cartesian
0.0000 0.0000 0.0000 Li
0.0000 0.0000 12.8199 Sm
0.0000 0.0000 6.6006 Ge
0.0000 0.0000 19.0392 Ge
0.0000 0.0000 2.6977 Au
0.0000 0.0000 9.3322 Au
0.0000 0.0000 16.3075 Au
0.0000 0.0000 22.9421 Au
```